For K2Na12Tl5, a GGA-PBE-relaxed structure gives the calculated powder X-ray diffraction pattern in this record (CuKα).
Peak positions follow from Bragg's law for the DFT cell and can differ from measured ones.

Cell and atoms:
a b c (Å): 11.7653 11.7653 16.8091
angles (deg): 90.00 90.00 120.00
Space group R-3m (No. 166, hexagonal axes)
Inequivalent atoms, fractional coordinates:
K1 0.0000 0.0000 0.1690 x6
Na1 0.0000 0.2805 0.5000 x18
Na2 0.0246 0.5123 0.3552 x18
Tl1 0.0000 0.0000 0.4023 x6
Tl2 0.0000 0.5000 0.0000 x9

Principal peaks in the range 2θ = 10–80°, low angle first:
| two_theta | intensity |
| --- | --- |
| 10.2 | 100 |
| 15.8 | 19 |
| 20.4 | 33 |
| 23.7 | 20 |
| 30.4 | 45 |
| 31.5 | 16 |
| 31.9 | 40 |
| 32.1 | 16 |
| 34.4 | 31 |
| 35.5 | 18 |